# TiNiSn2Br
Calculated XRD peak list, CuKα. Input: the GGA-PBE geometry in Alexandria.
Kinematic intensities with the Lorentz-polarization factor, no thermal factor.

Cell and atoms:
```
TiNiSn2Br
1.0
5.513 0.000 0.000
0.000 5.513 0.000
0.000 0.000 4.603
Ti Ni Sn Br
1 1 2 1
direct
0.000 0.000 0.000 Ti
0.500 0.500 0.000 Ni
0.000 0.500 0.500 Sn
0.500 0.000 0.500 Sn
0.000 0.000 0.500 Br
```

Top 10 peaks for 2θ = 10–90°, sorted by position:
| 2theta | I/Imax | hkl |
| --- | --- | --- |
| 19.28 | 41 | 0 0 1 |
| 25.21 | 20 | 1 0 1 |
| 30.04 | 96 | 1 1 1 |
| 32.48 | 100 | 2 0 0 |
| 38.05 | 31 | 2 0 1 |
| 39.14 | 30 | 0 0 2 |
| 46.59 | 36 | 2 2 0 |
| 51.75 | 53 | 2 0 2 |
| 56.44 | 32 | 3 1 1 |
| 62.44 | 30 | 2 2 2 |